Starting from a crystal structure in the Materials Project, relaxed with PBE, the XRD peak list of CaAgP was simulated for Cu Ka.

Top 6 peaks for 10 to 80 degrees two-theta, sorted by position:
| 2θ/deg | Rel. int. |
| --- | --- |
| 21.14 | 30 |
| 33.09 | 100 |
| 36.28 | 50 |
| 38.88 | 59 |
| 44.67 | 44 |
| 59.38 | 32 |

Cell and atoms:
Unit cell a=7.0768 b=7.0768 c=4.2030 alpha=90.00 beta=90.00 gamma=120.00
Space group P-62m (No. 189)
Symmetry-distinct sites (fractional):
Ca1 0.0000 0.4109 0.0000 x3
Ag1 0.0000 0.7471 0.5000 x3
P1 0.0000 0.0000 0.0000 x1
P2 0.3333 0.6667 0.5000 x2


Starting from a crystal structure in the Materials Project, relaxed with PBE, the XRD peak list of Nd2Pd2Pb was simulated for Cu Ka.

Top 6 peaks for 10 to 80 degrees two-theta, sorted by position:
| 2θ/deg | Rel. int. |
| --- | --- |
| 30.96 | 23 |
| 32.61 | 63 |
| 34.46 | 100 |
| 34.72 | 74 |
| 61.56 | 28 |
| 63.21 | 23 |

Cell and atoms:
Unit cell a=8.170 b=8.170 c=3.709 alpha=90.00 beta=90.00 gamma=90.00
Space group P4/mbm (No. 127)
Symmetry-distinct sites (fractional):
Nd1 0.174 0.326 0.000 x4
Pd1 0.123 0.623 0.500 x4
Pb1 0.000 0.000 0.500 x2


Starting from a crystal structure in the Materials Project, relaxed with PBE, the XRD peak list of ZrZnN2 was simulated for Cu Ka.

Top 6 peaks for 10 to 80 degrees two-theta, sorted by position:
| 2θ/deg | Rel. int. |
| --- | --- |
| 31.19 | 22 |
| 33.59 | 20 |
| 35.54 | 100 |
| 46.49 | 27 |
| 55.50 | 25 |
| 61.32 | 21 |

Cell and atoms:
Unit cell a=3.3113 b=3.3113 c=5.3368 alpha=90.00 beta=90.00 gamma=120.00
Space group P3m1 (No. 156)
Symmetry-distinct sites (fractional):
Zr1 0.0000 0.0000 0.0000 x1
Zn1 0.6667 0.3333 0.4475 x1
N1 0.3333 0.6667 0.2567 x1
N2 0.6667 0.3333 0.8142 x1


Starting from a crystal structure in the Materials Project, relaxed with PBE, the XRD peak list of EuBi2BrO4 was simulated for Cu Ka.

Top 6 peaks for 10 to 80 degrees two-theta, sorted by position:
| 2θ/deg | Rel. int. |
| --- | --- |
| 29.45 | 100 |
| 31.92 | 34 |
| 45.77 | 19 |
| 50.63 | 22 |
| 55.37 | 35 |
| 61.11 | 10 |

Cell and atoms:
Unit cell a=3.965 b=3.965 c=9.419 alpha=90.00 beta=90.00 gamma=90.00
Space group P4/mmm (No. 123)
Symmetry-distinct sites (fractional):
Eu1 0.000 0.000 0.000 x1
Bi1 0.500 0.500 0.272 x2
Br1 0.000 0.000 0.500 x1
O1 0.000 0.500 0.155 x4


Starting from a crystal structure in the Materials Project, relaxed with PBE, the XRD peak list of SmEuHfTiO6 was simulated for Cu Ka.

Top 6 peaks for 10 to 80 degrees two-theta, sorted by position:
| 2θ/deg | Rel. int. |
| --- | --- |
| 19.11 | 14 |
| 31.45 | 100 |
| 45.07 | 29 |
| 55.99 | 40 |
| 65.64 | 18 |
| 74.60 | 17 |

Cell and atoms:
Unit cell a=8.046 b=8.046 c=8.046 alpha=90.00 beta=90.00 gamma=90.00
Space group F-43m (No. 216)
Symmetry-distinct sites (fractional):
Sm1 0.000 0.000 0.000 x4
Eu1 0.000 0.000 0.500 x4
Hf1 0.250 0.250 0.750 x4
Ti1 0.250 0.250 0.250 x4
O1 0.005 0.250 0.250 x24


Starting from a crystal structure in the Materials Project, relaxed with PBE, the XRD peak list of Rb2AgMoBr6 was simulated for Cu Ka.

Top 6 peaks for 10 to 80 degrees two-theta, sorted by position:
| 2θ/deg | Rel. int. |
| --- | --- |
| 16.18 | 31 |
| 22.96 | 32 |
| 28.22 | 53 |
| 32.69 | 100 |
| 46.91 | 70 |
| 78.01 | 30 |

Cell and atoms:
Unit cell a=10.956 b=10.956 c=10.956 alpha=90.00 beta=90.00 gamma=90.00
Space group Fm-3m (No. 225)
Symmetry-distinct sites (fractional):
Rb1 0.250 0.250 0.250 x8
Ag1 0.000 0.000 0.000 x4
Mo1 0.000 0.000 0.500 x4
Br1 0.000 0.000 0.260 x24


Starting from a crystal structure in the Materials Project, relaxed with PBE, the XRD peak list of ThB4Ir4 was simulated for Cu Ka.

Top 6 peaks for 10 to 80 degrees two-theta, sorted by position:
| 2θ/deg | Rel. int. |
| --- | --- |
| 27.75 | 18 |
| 34.33 | 100 |
| 36.61 | 66 |
| 39.95 | 20 |
| 47.31 | 18 |
| 64.46 | 25 |

Cell and atoms:
Unit cell a=7.761 b=7.761 c=3.966 alpha=90.00 beta=90.00 gamma=90.00
Space group P4_2/n (No. 86, origin choice 2)
Symmetry-distinct sites (fractional):
Th1 0.250 0.250 0.250 x2
B1 0.031 0.591 0.140 x8
Ir1 0.085 0.857 0.138 x8


Starting from a crystal structure in the Materials Project, relaxed with PBE, the XRD peak list of Mn4Si7 was simulated for Cu Ka.

Top 6 peaks for 10 to 80 degrees two-theta, sorted by position:
| 2θ/deg | Rel. int. |
| --- | --- |
| 26.15 | 40 |
| 39.80 | 29 |
| 42.21 | 100 |
| 46.69 | 36 |
| 48.01 | 51 |
| 54.29 | 44 |

Cell and atoms:
Unit cell a=5.503 b=5.503 c=17.359 alpha=90.00 beta=90.00 gamma=90.00
Space group P-4c2 (No. 116)
Symmetry-distinct sites (fractional):
Mn1 0.000 0.000 0.000 x2
Mn2 0.000 0.000 0.250 x2
Mn3 0.000 0.500 0.065 x4
Mn4 0.000 0.500 0.308 x4
Mn5 0.500 0.500 0.130 x4
Si1 0.156 0.199 0.387 x8
Si2 0.159 0.321 0.683 x8
Si3 0.230 0.346 0.961 x8
Si4 0.334 0.334 0.250 x4